This entry pairs a crystal structure of Sc3Si4Ni2 with its computed powder X-ray diffraction pattern. Radiation: Cu Ka. Structure: a crystal structure in the Materials Project, relaxed with PBE.
Peak positions follow from Bragg's law for the DFT cell and can differ from measured ones.

```
Sc3Si4Ni2
1.0
11.6734 0.0000 0.0000
0.0000 3.9885 0.0000
0.0000 0.0000 11.9516
Sc Si Ni
12 16 8
Direct
0.0196 0.2500 0.1865 Sc
0.1958 0.7500 0.5800 Sc
0.2473 0.2500 0.3489 Sc
0.2527 0.7500 0.8489 Sc
0.3042 0.2500 0.0800 Sc
0.4804 0.7500 0.6865 Sc
0.5196 0.2500 0.3135 Sc
0.6958 0.7500 0.9200 Sc
0.7473 0.2500 0.1511 Sc
0.7527 0.7500 0.6511 Sc
0.8042 0.2500 0.4200 Sc
0.9804 0.7500 0.8135 Sc
0.0584 0.2500 0.4677 Si
0.1079 0.2500 0.9362 Si
0.1222 0.2500 0.7332 Si
0.1736 0.7500 0.2023 Si
0.3264 0.2500 0.7023 Si
0.3778 0.7500 0.2332 Si
0.3921 0.7500 0.4362 Si
0.4416 0.7500 0.9677 Si
0.5584 0.2500 0.0323 Si
0.6079 0.2500 0.5638 Si
0.6222 0.2500 0.7668 Si
0.6736 0.7500 0.2977 Si
0.8264 0.2500 0.7977 Si
0.8778 0.7500 0.2668 Si
0.8921 0.7500 0.0638 Si
0.9416 0.7500 0.5323 Si
0.0505 0.7500 0.3657 Ni
0.0909 0.7500 0.0274 Ni
0.4091 0.2500 0.5274 Ni
0.4495 0.2500 0.8657 Ni
0.5505 0.7500 0.1343 Ni
0.5909 0.7500 0.4726 Ni
0.9091 0.2500 0.9726 Ni
0.9495 0.2500 0.6343 Ni
```

The 10 most intense peaks (2θ = 10–80°), most intense first:
| two_theta | Rel. int. | h k l |
| --- | --- | --- |
| 39.5 | 100 | 3 1 3 |
| 38.4 | 99 | 1 1 4 |
| 45.5 | 85 | 0 2 0 |
| 35.6 | 71 | 3 1 2 |
| 35.4 | 59 | 2 1 3 |
| 39.0 | 52 | 4 1 1 |
| 15.2 | 31 | 2 0 0 |
| 44.9 | 30 | 1 1 5 |
| 38.2 | 29 | 4 0 3 |
| 51.9 | 24 | 1 1 6 |

This entry pairs a crystal structure of NbOF3 with its computed powder X-ray diffraction pattern. Radiation: Cu Ka. Structure: a crystal structure in the Materials Project, relaxed with PBE.
Peak positions follow from Bragg's law for the DFT cell and can differ from measured ones.

```
NbOF3
1.0
5.5152 0.0000 0.0000
0.0000 5.5861 0.0000
0.0000 0.0000 9.6314
Nb O F
4 4 12
Direct
0.1254 0.0803 0.1390 Nb
0.3746 0.9197 0.6390 Nb
0.6254 0.4197 0.8610 Nb
0.8746 0.5803 0.3610 Nb
0.0528 0.3965 0.2417 O
0.4472 0.6035 0.7417 O
0.5528 0.1035 0.7583 O
0.9472 0.8965 0.2583 O
0.0722 0.9489 0.7305 F
0.1373 0.6959 0.4938 F
0.1996 0.8332 0.0101 F
0.3004 0.1668 0.5101 F
0.3627 0.3041 0.9938 F
0.4278 0.0511 0.2305 F
0.5722 0.5511 0.2695 F
0.6373 0.8041 0.5062 F
0.6996 0.6668 0.9899 F
0.8004 0.3332 0.4899 F
0.8627 0.1959 0.0062 F
0.9278 0.4489 0.7695 F
```

The 10 most intense peaks (2θ = 10–80°), most intense first:
| two_theta | Rel. int. | h k l |
| --- | --- | --- |
| 24.4 | 100 | 0 1 2 |
| 22.7 | 43 | 1 1 0 |
| 18.5 | 39 | 1 0 1 |
| 24.5 | 38 | 1 0 2 |
| 18.4 | 18 | 0 1 1 |
| 46.1 | 16 | 1 2 3 |
| 50.2 | 15 | 2 2 2 |
| 37.6 | 14 | 2 1 1 |
| 52.9 | 13 | 1 2 4 |
| 43.3 | 12 | 2 0 3 |

This entry pairs a crystal structure of Cs2MnBr4 with its computed powder X-ray diffraction pattern. Radiation: Cu Ka. Structure: a crystal structure in the Materials Project, relaxed with PBE.
Peak positions follow from Bragg's law for the DFT cell and can differ from measured ones.

```
Cs2MnBr4
1.0
10.4208 0.0000 0.0000
0.0000 7.9954 0.0000
0.0000 0.0000 14.0878
Cs Mn Br
8 4 16
Direct
0.0197 0.2500 0.1733 Cs
0.1310 0.7500 0.4038 Cs
0.3690 0.2500 0.9038 Cs
0.4803 0.7500 0.6733 Cs
0.5197 0.2500 0.3267 Cs
0.6310 0.7500 0.0962 Cs
0.8690 0.2500 0.5962 Cs
0.9803 0.7500 0.8267 Cs
0.2286 0.7500 0.0767 Mn
0.2714 0.2500 0.5767 Mn
0.7286 0.7500 0.4233 Mn
0.7714 0.2500 0.9233 Mn
0.0086 0.2500 0.9067 Br
0.1780 0.5015 0.6545 Br
0.1780 0.9985 0.6545 Br
0.1853 0.2500 0.4109 Br
0.3147 0.7500 0.9109 Br
0.3220 0.0015 0.1545 Br
0.3220 0.4985 0.1545 Br
0.4914 0.7500 0.4067 Br
0.5086 0.2500 0.5933 Br
0.6780 0.5015 0.8455 Br
0.6780 0.9985 0.8455 Br
0.6853 0.2500 0.0891 Br
0.8147 0.7500 0.5891 Br
0.8220 0.0015 0.3455 Br
0.8220 0.4985 0.3455 Br
0.9914 0.7500 0.0933 Br
```

The 10 most intense peaks (2θ = 10–80°), most intense first:
| two_theta | Rel. int. | h k l |
| --- | --- | --- |
| 26.4 | 100 | 3 0 1 |
| 27.0 | 92 | 1 2 2 |
| 28.9 | 79 | 2 2 1 |
| 25.3 | 73 | 0 0 4 |
| 22.2 | 65 | 0 2 0 |
| 32.0 | 54 | 3 0 3 |
| 22.0 | 52 | 0 1 3 |
| 28.7 | 46 | 3 1 1 |
| 45.4 | 42 | 0 4 0 |
| 53.3 | 42 | 3 4 1 |

This entry pairs a crystal structure of MgTe4MoW3S4 with its computed powder X-ray diffraction pattern. Radiation: Cu Ka. Structure: a crystal structure in the Materials Project, relaxed with PBE.
Peak positions follow from Bragg's law for the DFT cell and can differ from measured ones.

```
MgTe4MoW3S4
1.0
3.3564 0.0000 0.0000
-1.6782 2.9067 0.0000
0.0000 0.0000 45.3020
Mg Te Mo W S
1 4 1 3 4
Direct
0.0000 0.0000 0.0000 Mg
0.3333 0.6667 0.2388 Te
0.3333 0.6667 0.3228 Te
0.6667 0.3333 0.6747 Te
0.6667 0.3333 0.7581 Te
0.3333 0.6667 0.7164 Mo
0.3333 0.6667 0.0990 W
0.6667 0.3333 0.2808 W
0.6667 0.3333 0.8974 W
0.3333 0.6667 0.8640 S
0.3333 0.6667 0.9310 S
0.6667 0.3333 0.0653 S
0.6667 0.3333 0.1324 S
```

The 10 most intense peaks (2θ = 10–80°), most intense first:
| two_theta | Rel. int. | h k l |
| --- | --- | --- |
| 40.4 | 100 | 0 1 13 |
| 34.7 | 97 | 0 1 8 |
| 30.8 | 64 | 1 0 0 |
| 11.7 | 56 | 0 0 6 |
| 54.7 | 49 | 1 1 0 |
| 36.7 | 48 | 1 0 10 |
| 32.3 | 36 | 1 0 5 |
| 43.2 | 31 | 1 0 15 |
| 55.7 | 24 | 1 1 5 |
| 31.0 | 23 | 0 1 2 |